This entry pairs a crystal structure of K2Rb2Sr with its theoretical powder X-ray diffraction pattern. Radiation: Cu Kα, 1.54184 Å. Structure: a crystal structure in Alexandria, relaxed with PBE.
No peak broadening, texture or thermal motion is included.

Structural model:
Cell lengths 6.0847, 6.0847, 21.2064 Å; angles 90.00, 90.00, 90.00 degrees
Positions (direct):
K: 0.0000 0.0000 0.0913
K: 0.0000 0.0000 0.9087
K: 0.5000 0.5000 0.4087
K: 0.5000 0.5000 0.5913
Rb: 0.0000 0.5000 0.2500
Rb: 0.0000 0.5000 0.7500
Rb: 0.5000 0.0000 0.2500
Rb: 0.5000 0.0000 0.7500
Sr: 0.0000 0.0000 0.5000
Sr: 0.5000 0.5000 0.0000

Most intense lines, 2θ = 15–90°, in order of falling intensity:
index  Position (°2θ)  d [Å]  I (rel.)
1 1 2  22.30  3.987  100
2 0 0  29.36  3.042  34
3 1 2  48.06  1.893  24
0 0 4  16.72  5.302  23
1 0 5  25.60  3.479  23
2 0 4  33.97  2.639  17
1 0 3  19.25  4.612  16
1 1 10  47.82  1.902  15
1 1 4  26.68  3.341  14
1 1 6  32.79  2.731  14